Entry 1:
Simulated powder X-ray diffraction pattern of BaAl2P2O10 for Cu Kα X-rays, from the GGA-PBE geometry in Alexandria.

```
15
Lattice="4.9917 0.0000 0.0000 -0.3081 6.1073 0.0000 -1.9650 -2.5150 5.9317" Properties=species:S:1:pos:R:3 pbc="T T T"
Ba 0.0000 0.0000 0.0000
Al 0.0236 0.3352 4.3617
Al 2.6950 3.2570 1.5700
P 0.1924 3.4107 3.4855
P 2.5262 0.1816 2.4462
O -0.6186 3.7374 2.2224
O -0.3907 2.1824 4.2232
O 1.3802 2.7941 0.2725
O 0.4201 -1.5497 4.5502
O 1.0266 0.3831 2.7710
O 1.6920 3.2092 3.1606
O 2.2984 5.1420 1.3815
O 1.3384 0.7982 5.6592
O 3.1092 1.4099 1.7085
O 3.3372 -0.1451 3.7093
```

Main lines, in order of rising 2θ (10 to 80 degrees two-theta):
d (Å)  2theta  I/Imax
5.623  15.76  51
3.334  26.74  40
3.301  27.01  77
3.287  27.13  44
3.203  27.85  97
3.041  29.37  100
3.026  29.52  60
2.998  29.80  45

Entry 2:
Simulated powder X-ray diffraction pattern of BaSrNiGe for Cu Kα X-rays, from the GGA-PBE geometry in Alexandria.

```
4
Lattice="2.1449 1.2383 8.4971 -2.1449 1.2383 8.4971 0.0000 -2.4767 8.4971" Properties=species:S:1:pos:R:3 pbc="T T T"
Ba 0.0000 0.0000 0.0000
Sr 0.0000 0.0000 4.2260
Ni 0.0000 0.0000 19.1949
Ge 0.0000 0.0000 10.7064
```

Main lines, in order of rising 2θ (10 to 80 degrees two-theta):
d (Å)  2theta  I/Imax
8.497  10.41  100
3.676  24.21  29
3.209  27.80  48
3.002  29.76  81
2.601  34.49  57
2.419  37.17  22
2.145  42.13  60
1.509  61.43  38

Entry 3:
Simulated powder X-ray diffraction pattern of Ca5MgAg for Cu Kα X-rays, from the GGA-PBE geometry in Alexandria.

```
14
Lattice="4.7126 -4.0983 0.0000 4.7126 4.0983 0.0000 -3.0547 0.0000 12.5645" Properties=species:S:1:pos:R:3 pbc="T T T"
Ca 2.4215 3.9608 9.4234
Ca 0.4943 1.4389 7.8976
Ca 0.5888 1.2841 11.6449
Ca 2.0217 -1.4389 1.6153
Ca 4.2543 1.2841 7.2019
Ca 2.1161 -1.2841 5.3626
Ca 4.3488 1.4389 10.9492
Ca 5.7816 -1.2841 0.9196
Ca 5.8761 -1.4389 4.6669
Ca 3.9489 -3.9608 3.1411
Mg 3.9489 0.8739 3.1411
Mg 2.4215 -0.8739 9.4234
Ag 0.0000 0.0000 0.0000
Ag -1.5274 0.0000 6.2823
```

Main lines, in order of rising 2θ (10 to 80 degrees two-theta):
d (Å)  2theta  I/Imax
6.282  14.10  25
6.108  14.50  58
3.081  28.98  26
3.054  29.24  49
2.933  30.48  100
2.861  31.27  29
2.618  34.25  34
2.493  36.02  29

Entry 4:
Simulated powder X-ray diffraction pattern of Cs5Rb3H8 for Cu Kα X-rays, from the GGA-PBE geometry in Alexandria.

```
16
Lattice="4.4028 2.5420 7.2143 -4.4028 2.5420 7.2143 0.0000 -5.0839 7.2143" Properties=species:S:1:pos:R:3 pbc="T T T"
Cs 0.0000 0.0000 0.0000
Cs -2.2014 -1.2710 7.2143
Cs -2.2014 1.2710 14.4286
Cs 0.0000 2.5420 7.2143
Cs 0.0000 0.0000 10.8214
Rb -4.4028 0.0000 10.8214
Rb -2.2014 1.2710 3.6071
Rb 2.2014 1.2710 3.6071
H -2.2433 -1.2952 12.5564
H 0.0000 0.0000 5.3125
H 0.0000 -2.5904 9.0865
H -2.2433 1.2952 9.0865
H 2.2433 -1.2952 12.5564
H 0.0000 2.5904 12.5564
H 0.0000 0.0000 16.3304
H 2.2433 1.2952 9.0865
```

Main lines, in order of rising 2θ (10 to 80 degrees two-theta):
d (Å)  2theta  I/Imax
3.599  24.74  100
3.117  28.64  55
2.204  40.95  41
1.880  48.41  36
1.878  48.48  12
1.798  50.78  11
1.429  65.32  10
1.272  74.64  10